(1)
Structure and theoretical XRD peak list of UTl4S5 (a DFT-relaxed cell (PBE, Alexandria); λ = 1.5418 Å (Cu Kα)).
Neutral-atom scattering factors, no anomalous dispersion.

Largest 10 diffraction maxima, low angle first, 2θ from 15° to 90°:
3.514 Å, 2θ 25.34, rel. 100
3.123 Å, 2θ 28.58, rel. 61
2.901 Å, 2θ 30.82, rel. 29
2.208 Å, 2θ 40.86, rel. 21
2.125 Å, 2θ 42.53, rel. 42
1.870 Å, 2θ 48.70, rel. 39
1.771 Å, 2θ 51.59, rel. 16
1.757 Å, 2θ 52.05, rel. 21
1.382 Å, 2θ 67.82, rel. 15
1.258 Å, 2θ 75.55, rel. 11

Structural model:
Lattice parameters (Å, degrees): 7.562 7.562 7.562 98.46 98.46 134.89
Fractional positions:
U  0.000  0.000  0.000
Tl  0.188  0.414  0.597
Tl  0.414  0.817  0.226
Tl  0.592  0.188  0.774
Tl  0.817  0.592  0.403
S  0.108  0.772  0.875
S  0.233  0.108  0.336
S  0.506  0.506  0.000
S  0.772  0.897  0.664
S  0.897  0.233  0.125


(2)
Structure and theoretical XRD peak list of Y4UTlS8 (a DFT-relaxed cell (PBE, Alexandria); λ = 1.5418 Å (Cu Kα)).
Neutral-atom scattering factors, no anomalous dispersion.

Largest 10 diffraction maxima, low angle first, 2θ from 15° to 90°:
5.817 Å, 2θ 15.23, rel. 13
4.129 Å, 2θ 21.52, rel. 47
3.511 Å, 2θ 25.37, rel. 100
3.491 Å, 2θ 25.52, rel. 46
2.908 Å, 2θ 30.74, rel. 23
2.242 Å, 2θ 40.23, rel. 63
2.064 Å, 2θ 43.86, rel. 40
2.049 Å, 2θ 44.21, rel. 39
1.777 Å, 2θ 51.43, rel. 14
1.519 Å, 2θ 61.00, rel. 23

Structural model:
Lattice parameters (Å, degrees): 8.195 8.195 8.195 60.51 60.51 60.51
Fractional positions:
Y  0.000  0.000  0.000
Y  0.134  0.620  0.620
Y  0.620  0.134  0.620
Y  0.620  0.620  0.134
U  0.623  0.623  0.623
Tl  0.246  0.246  0.246
S  0.389  0.389  0.389
S  0.393  0.393  0.823
S  0.393  0.823  0.393
S  0.396  0.870  0.870
S  0.823  0.393  0.393
S  0.867  0.867  0.867
S  0.870  0.396  0.870
S  0.870  0.870  0.396


(3)
Structure and theoretical XRD peak list of TlV12S16 (a DFT-relaxed cell (PBE, Alexandria); λ = 1.5418 Å (Cu Kα)).
Neutral-atom scattering factors, no anomalous dispersion.

Largest 10 diffraction maxima, low angle first, 2θ from 15° to 90°:
3.960 Å, 2θ 22.45, rel. 32
3.003 Å, 2θ 29.75, rel. 40
2.992 Å, 2θ 29.87, rel. 14
2.645 Å, 2θ 33.89, rel. 23
2.639 Å, 2θ 33.97, rel. 20
2.511 Å, 2θ 35.76, rel. 27
2.200 Å, 2θ 41.02, rel. 100
2.196 Å, 2θ 41.11, rel. 31
1.869 Å, 2θ 48.71, rel. 39
1.729 Å, 2θ 52.96, rel. 15

Structural model:
Lattice parameters (Å, degrees): 3.247 9.156 15.821 90.04 90.01 90.01
Fractional positions:
Tl  0.000  0.000  0.000
V  0.248  0.432  0.060
V  0.248  0.695  0.188
V  0.249  0.871  0.752
V  0.250  0.198  0.683
V  0.250  0.375  0.259
V  0.250  0.929  0.559
V  0.750  0.071  0.441
V  0.750  0.625  0.741
V  0.750  0.802  0.317
V  0.751  0.129  0.248
V  0.752  0.305  0.812
V  0.752  0.568  0.940
S  0.250  0.000  0.334
S  0.250  0.178  0.527
S  0.250  0.620  0.328
S  0.250  0.698  0.645
S  0.251  0.500  0.832
S  0.253  0.201  0.151
S  0.254  0.123  0.824
S  0.254  0.678  0.026
S  0.746  0.322  0.974
S  0.746  0.877  0.176
S  0.747  0.799  0.849
S  0.749  0.500  0.168
S  0.750  0.000  0.666
S  0.750  0.302  0.355
S  0.750  0.380  0.672
S  0.750  0.822  0.473